[1]
This entry pairs a crystal structure of Ac4Ag2HgPb with its simulated X-ray diffraction stick pattern. Radiation: λ = 1.5418 Å (Cu Kα). Structure: a crystal structure in Alexandria, relaxed with GGA-PBE.
Intensities are scaled so that the largest is 100.

Main lines, by angle (2θ from 10° to 80°):
2theta, Rel. int., index
19.06, 4.2, 0 1 2
22.01, 6.3, 1 0 4
31.25, 100.0, 0 1 8
31.40, 99.7, 1 1 0
36.95, 2.9, 1 1 6
44.89, 37.4, 2 0 8
55.51, 19.5, 1 0 16
55.84, 59.5, 3 0 0
65.18, 12.1, 0 2 16
65.54, 12.4, 2 2 0
74.14, 16.8, 2 1 16
74.39, 17.1, 3 1 8

Structure:
abc: 5.6974 5.6974 28.1170
angles: 90.00 90.00 120.00
Space group R-3m (No. 166, hexagonal axes)
Inequivalent atoms, fractional coordinates:
Ac 0.0000 0.0000 0.1228 [6 per cell]
Ac 0.0000 0.0000 0.3724 [6 per cell]
Ag 0.0000 0.0000 0.2518 [6 per cell]
Hg 0.0000 0.0000 0.0000 [3 per cell]
Pb 0.0000 0.0000 0.5000 [3 per cell]

[2]
This entry pairs a crystal structure of Li6SmSn6 with its simulated X-ray diffraction stick pattern. Radiation: λ = 1.5418 Å (Cu Kα). Structure: a crystal structure in Alexandria, relaxed with GGA-PBE.
Intensities are scaled so that the largest is 100.

Main lines, by angle (2θ from 10° to 80°):
2theta, Rel. int., index
18.78, 60.5, 0 2 0
25.95, 17.2, 1 2 1
29.74, 21.9, 0 3 1
30.93, 50.5, 2 0 0
31.04, 100.0, 1 0 3
32.36, 17.6, 1 3 0
36.50, 82.0, 2 2 0
37.17, 24.4, 1 3 2
43.45, 15.8, 2 3 1
49.90, 21.0, 2 4 0
55.09, 20.5, 3 0 3
67.79, 37.0, 2 6 0

Structure:
abc: 5.7817 9.4504 9.9693
angles: 90.00 90.00 90.00
Space group Immm (No. 71)
Inequivalent atoms, fractional coordinates:
Li 0.0000 0.2502 0.0000 [4 per cell]
Li 0.2500 0.2500 0.2500 [8 per cell]
Sm 0.0000 0.0000 0.5000 [2 per cell]
Sn 0.0000 0.0000 0.1650 [4 per cell]
Sn 0.0000 0.3469 0.5000 [4 per cell]
Sn 0.0000 0.5000 0.1651 [4 per cell]

[3]
This entry pairs a crystal structure of Tb4Sm2DyMg with its simulated X-ray diffraction stick pattern. Radiation: λ = 1.5418 Å (Cu Kα). Structure: a crystal structure in Alexandria, relaxed with GGA-PBE.
Intensities are scaled so that the largest is 100.

Main lines, by angle (2θ from 10° to 80°):
2theta, Rel. int., index
17.81, 2.7, 1 0 0
19.88, 3.1, 1 0 1
30.96, 100.0, 1 1 2
35.53, 17.3, 0 0 4
36.03, 16.7, 0 2 0
36.13, 16.6, 2 0 0
51.53, 24.1, 2 0 4
51.94, 11.8, 2 2 0
60.97, 14.5, 1 1 6
61.64, 14.1, 1 3 2
61.78, 14.0, 3 1 2
64.52, 12.3, 2 2 4

Structure:
abc: 4.9720 4.9861 10.1071
angles: 90.00 90.00 90.00
Space group Pmmm (No. 47)
Inequivalent atoms, fractional coordinates:
Tb 0.0000 0.0000 0.2486 [2 per cell]
Tb 0.5000 0.5000 0.2486 [2 per cell]
Sm 0.0000 0.5000 0.0000 [1 per cell]
Sm 0.5000 0.0000 0.5000 [1 per cell]
Dy 0.0000 0.5000 0.5000 [1 per cell]
Mg 0.5000 0.0000 0.0000 [1 per cell]

[4]
This entry pairs a crystal structure of AlRuS with its simulated X-ray diffraction stick pattern. Radiation: λ = 1.5418 Å (Cu Kα). Structure: a crystal structure in Alexandria, relaxed with GGA-PBE.
Intensities are scaled so that the largest is 100.

Main lines, by angle (2θ from 10° to 80°):
2theta, Rel. int., index
10.48, 100.0, 0 0 1
19.71, 12.2, 0 1 0
21.04, 9.3, 0 0 2
24.24, 34.3, 0 1 1
31.92, 10.2, 1 -1 0
32.62, 9.9, -1 1 1
40.28, 14.9, 1 -1 2
40.51, 15.0, 1 0 -3
41.36, 10.2, 0 2 -2
43.63, 13.4, 1 1 -2
43.99, 8.5, 1 1 0
44.12, 8.4, -1 2 1

Structure:
abc: 2.9601 4.8347 8.7462
angles: 98.26 99.40 107.79
Space group P-1 (No. 2)
Inequivalent atoms, fractional coordinates:
Al 0.2067 0.3235 0.0937 [2 per cell]
Ru 0.4842 0.1138 0.8499 [2 per cell]
S 0.0093 0.3135 0.6955 [2 per cell]

[5]
This entry pairs a crystal structure of TlHg5 with its simulated X-ray diffraction stick pattern. Radiation: λ = 1.5418 Å (Cu Kα). Structure: a crystal structure in Alexandria, relaxed with GGA-PBE.
Intensities are scaled so that the largest is 100.

Main lines, by angle (2θ from 10° to 80°):
2theta, Rel. int., index
31.96, 100.0, 1 3 1
36.22, 18.1, 0 0 2
37.09, 16.7, 0 6 0
37.86, 16.1, 2 0 0
52.82, 12.3, 0 6 2
53.40, 12.1, 2 0 2
54.05, 11.5, 2 6 0
62.49, 15.1, 1 3 3
63.66, 13.8, 1 9 1
64.70, 13.6, 3 3 1
66.81, 12.3, 2 6 2
76.88, 2.2, 0 0 4

Structure:
abc: 4.7522 14.5419 4.9600
angles: 90.00 90.00 90.00
Space group Cmmm (No. 65)
Inequivalent atoms, fractional coordinates:
Tl 0.0000 0.0000 0.0000 [2 per cell]
Hg 0.0000 0.1691 0.5000 [4 per cell]
Hg 0.0000 0.3279 0.0000 [4 per cell]
Hg 0.0000 0.5000 0.5000 [2 per cell]

[6]
This entry pairs a crystal structure of Nb4MoRh5 with its simulated X-ray diffraction stick pattern. Radiation: λ = 1.5418 Å (Cu Kα). Structure: a crystal structure in Alexandria, relaxed with GGA-PBE.
Intensities are scaled so that the largest is 100.

Main lines, by angle (2θ from 10° to 80°):
2theta, Rel. int., index
39.11, 100.0, 0 1 5
39.30, 99.7, 1 1 0
45.01, 66.5, 1 0 5
46.72, 30.1, 0 2 0
65.27, 10.3, 0 0 10
65.82, 10.5, 2 0 0
66.89, 39.6, 1 2 5
78.92, 23.7, 1 1 10
79.30, 24.2, 2 1 5

Structure:
abc: 2.8379 3.8886 14.2946
angles: 90.00 90.00 90.00
Space group Pmmm (No. 47)
Inequivalent atoms, fractional coordinates:
Nb 0.0000 0.0000 0.1014 [2 per cell]
Nb 0.0000 0.0000 0.3058 [2 per cell]
Mo 0.0000 0.0000 0.5000 [1 per cell]
Rh 0.5000 0.5000 0.0000 [1 per cell]
Rh 0.5000 0.5000 0.2022 [2 per cell]
Rh 0.5000 0.5000 0.4041 [2 per cell]

[7]
This entry pairs a crystal structure of SrPmGe2Pd2 with its simulated X-ray diffraction stick pattern. Radiation: λ = 1.5418 Å (Cu Kα). Structure: a crystal structure in Alexandria, relaxed with GGA-PBE.
Intensities are scaled so that the largest is 100.

Main lines, by angle (2θ from 10° to 80°):
2theta, Rel. int., index
11.16, 20.3, 0 0 1
32.32, 100.0, 0 1 2
40.33, 59.7, 1 1 0
41.37, 8.3, 1 0 3
41.98, 4.9, 1 1 1
45.80, 9.4, 0 0 4
52.60, 24.9, 2 0 2
62.64, 22.0, 1 1 4
68.30, 22.5, 1 2 2
73.19, 7.1, 1 1 5
73.32, 10.0, 3 0 0
76.15, 5.0, 0 1 6

Structure:
abc: 4.4729 4.4729 7.9250
angles: 90.00 90.00 120.00
Space group P-3m1 (No. 164)
Inequivalent atoms, fractional coordinates:
Sr 0.0000 0.0000 0.0000 [1 per cell]
Pm 0.0000 0.0000 0.5000 [1 per cell]
Ge 0.3333 0.6667 0.2789 [2 per cell]
Pd 0.3333 0.6667 0.7181 [2 per cell]

[8]
This entry pairs a crystal structure of MnGeP with its simulated X-ray diffraction stick pattern. Radiation: λ = 1.5418 Å (Cu Kα). Structure: a crystal structure in Alexandria, relaxed with GGA-PBE.
Intensities are scaled so that the largest is 100.

Main lines, by angle (2θ from 10° to 80°):
2theta, Rel. int., index
14.61, 22.6, 0 0 3
22.38, 18.2, 0 1 2
28.17, 13.4, 1 0 4
29.47, 10.7, 0 0 6
35.19, 10.6, 1 1 0
38.29, 100.0, 2 -1 3
44.85, 12.2, 0 0 9
46.54, 72.8, 1 1 6
58.26, 24.9, 1 1 9
61.15, 9.5, 0 0 12
63.14, 27.3, 3 0 0
76.31, 11.7, 2 2 3

Structure:
abc: 5.1006 5.1006 18.1843
angles: 90.00 90.00 120.00
Space group R3 (No. 146, hexagonal axes)
Inequivalent atoms, fractional coordinates:
Mn 0.0000 0.0000 0.0000 [3 per cell]
Mn 0.0000 0.0000 0.1494 [3 per cell]
Mn 0.0000 0.0000 0.4822 [3 per cell]
Ge 0.0078 0.3375 0.9118 [9 per cell]
P 0.9996 0.7010 0.7416 [9 per cell]